# LiHf2Ti
Simulated PXRD pattern, Cu Kα. Input: a DFT-relaxed cell (PBE, Alexandria).
No peak broadening, texture or thermal motion is included.

Peak list (10 most intense, 15 to 90 degrees two-theta, low angle first)
d_spacing, I (rel.), h k l
4.159, 51, 0 0 2
3.090, 50, 1 0 0
2.480, 100, 1 0 2
2.185, 35, 1 1 0
2.079, 14, 0 0 4
1.934, 27, 1 1 2
1.725, 17, 1 0 4
1.545, 12, 2 0 0
1.506, 20, 1 1 4
1.311, 27, 2 1 2

Atomic structure:
Lattice parameters (Å, degrees): 3.090 3.090 8.318 90.00 90.00 90.00
Space group P4/mmm (No. 123)
Unique sites:
Li (0.000, 0.000, 0.000) x1
Hf (0.500, 0.500, 0.263) x2
Ti (0.000, 0.000, 0.500) x1